# Na3FeBPO7
Theoretical X-ray powder pattern, Cu Kα. Input: a structure optimized by DFT (GGA+U).
Peak positions follow from Bragg's law for the DFT cell and can differ from measured ones.

Main lines, in order of rising 2θ (10° ≤ 2θ ≤ 90°):
2θ = 16.5°, intensity 50
2θ = 19.5°, intensity 32
2θ = 19.8°, intensity 37
2θ = 26.0°, intensity 41
2θ = 26.6°, intensity 100
2θ = 29.6°, intensity 31
2θ = 33.2°, intensity 60
2θ = 33.4°, intensity 97
2θ = 34.2°, intensity 79
2θ = 37.5°, intensity 32
2θ = 48.9°, intensity 30
2θ = 54.8°, intensity 36

```
data_Na3FeBPO7
_chemical_formula_sum 'Na6 Fe2 B2 P2 O14'
_cell_length_a 5.245
_cell_length_b 6.696
_cell_length_c 8.943
_cell_angle_alpha 90.00
_cell_angle_beta 90.94
_cell_angle_gamma 90.00
_space_group_name_H-M_alt 'P 1 21/m 1'
_space_group_IT_number 11
_space_group_name_Hall '-P 2yb'
loop_
_atom_site_label
_atom_site_type_symbol
_atom_site_fract_x
_atom_site_fract_y
_atom_site_fract_z
Na1 Na 0.243 0.250 0.075
Na2 Na 0.250 0.502 0.748
Fe1 Fe 0.222 0.750 0.338
B1 B 0.263 0.750 0.065
P1 P 0.289 0.250 0.423
O1 O 0.027 0.750 0.137
O2 O 0.138 0.250 0.570
O3 O 0.223 0.064 0.326
O4 O 0.294 0.750 0.916
O5 O 0.418 0.750 0.539
O6 O 0.467 0.750 0.171
```